# 1
Li7Mn4CoO12: simulated XRD peak list (Cu Ka), based on a cell relaxed with PBE+U.
Kinematic intensities with the Lorentz-polarization factor, no thermal factor.

Most intense lines, 2θ = 5–70°, in order of rising 2θ:
2theta	Rel. int.
6.11	31
18.28	100
35.19	14
36.02	13
36.17	12
42.35	31
43.87	56
57.81	9

Atomic structure:
Cell: 5.858 5.901 14.481 Å, 91.72 90.32 119.29°
Fractional positions:
Li 0.000 0.000 0.000
Li 0.001 0.499 0.999
Li 0.177 0.849 0.665
Li 0.178 0.349 0.664
Li 0.181 0.844 0.162
Li 0.182 0.353 0.156
Li 0.357 0.195 0.328
Li 0.360 0.699 0.325
Li 0.499 0.998 0.508
Li 0.505 0.508 0.504
Li 0.684 0.352 0.667
Li 0.686 0.850 0.669
Li 0.852 0.194 0.824
Li 0.854 0.695 0.823
Mn 0.019 0.014 0.503
Mn 0.022 0.517 0.503
Mn 0.334 0.186 0.823
Mn 0.335 0.687 0.823
Mn 0.508 0.014 0.997
Mn 0.508 0.514 0.996
Mn 0.848 0.182 0.331
Mn 0.848 0.681 0.332
Co 0.680 0.846 0.162
Co 0.687 0.350 0.162
O 0.011 0.535 0.252
O 0.033 0.033 0.752
O 0.034 0.532 0.753
O 0.145 0.321 0.422
O 0.150 0.825 0.420
O 0.201 0.877 0.903
O 0.204 0.378 0.903
O 0.321 0.667 0.572
O 0.323 0.170 0.571
O 0.353 0.165 0.080
O 0.353 0.668 0.076
O 0.492 0.009 0.755
O 0.494 0.511 0.756
O 0.542 0.523 0.253
O 0.543 0.042 0.249
O 0.647 0.352 0.913
O 0.651 0.859 0.914
O 0.702 0.836 0.414
O 0.715 0.373 0.407
O 0.824 0.654 0.081
O 0.835 0.178 0.082
O 0.861 0.194 0.568
O 0.867 0.694 0.571
O 0.995 0.996 0.261

=====

# 2
Li2MnCoO4: simulated XRD peak list (Cu Ka), based on a cell relaxed with PBE+U.
Kinematic intensities with the Lorentz-polarization factor, no thermal factor.

Most intense lines, 2θ = 5–70°, in order of rising 2θ:
2theta	Rel. int.
18.18	100
33.95	19
35.56	14
36.57	17
40.88	32
43.18	26
44.65	23
62.13	15

Atomic structure:
Cell: 3.060 5.034 5.095 Å, 106.56 91.21 92.38°
Fractional positions:
Li 0.000 0.000 0.000
Li 0.500 0.500 0.000
Mn 0.000 0.500 0.500
Co 0.500 0.000 0.500
O 0.013 0.248 0.727
O 0.463 0.756 0.732
O 0.537 0.244 0.268
O 0.987 0.752 0.273

=====

# 3
Li6Mn3CoO10: simulated XRD peak list (Cu Ka), based on a cell relaxed with PBE+U.
Kinematic intensities with the Lorentz-polarization factor, no thermal factor.

Most intense lines, 2θ = 5–70°, in order of rising 2θ:
2theta	Rel. int.
8.65	23
18.34	100
35.13	17
36.34	12
36.68	11
42.19	33
44.34	56
65.05	10

Atomic structure:
Cell: 2.932 5.975 10.392 Å, 97.52 96.91 92.72°
Fractional positions:
Li 0.000 0.000 0.000
Li 0.001 0.501 0.002
Li 0.205 0.098 0.403
Li 0.409 0.709 0.814
Li 0.591 0.287 0.183
Li 0.798 0.903 0.602
Mn 0.197 0.600 0.404
Mn 0.409 0.196 0.808
Mn 0.590 0.805 0.192
Co 0.812 0.396 0.602
O 0.077 0.578 0.206
O 0.112 0.021 0.201
O 0.268 0.635 0.601
O 0.344 0.167 0.610
O 0.489 0.250 0.986
O 0.510 0.753 0.015
O 0.655 0.837 0.394
O 0.738 0.359 0.410
O 0.887 0.981 0.800
O 0.918 0.421 0.793

=====

# 4
Li4Mn3CoO8: simulated XRD peak list (Cu Ka), based on a cell relaxed with PBE+U.
Kinematic intensities with the Lorentz-polarization factor, no thermal factor.

Most intense lines, 2θ = 5–70°, in order of rising 2θ:
2theta	Rel. int.
18.14	100
35.34	43
42.88	81
46.91	15
56.60	14
62.12	21
62.38	22
65.55	14

Atomic structure:
Cell: 5.977 5.977 5.977 Å, 59.75 59.75 59.75°
Fractional positions:
Li 0.000 0.000 0.000
Li 0.000 0.500 0.500
Li 0.500 0.000 0.500
Li 0.500 0.500 0.000
Mn 0.000 0.000 0.500
Mn 0.000 0.500 0.000
Mn 0.500 0.000 0.000
Co 0.500 0.500 0.500
O 0.227 0.745 0.745
O 0.254 0.254 0.254
O 0.255 0.255 0.773
O 0.255 0.773 0.255
O 0.745 0.227 0.745
O 0.745 0.745 0.227
O 0.746 0.746 0.746
O 0.773 0.255 0.255

=====

# 5
Li7Mn4CoO12: simulated XRD peak list (Cu Ka), based on a cell relaxed with PBE+U.
Kinematic intensities with the Lorentz-polarization factor, no thermal factor.

Most intense lines, 2θ = 5–70°, in order of rising 2θ:
2theta	Rel. int.
9.11	10
18.29	100
34.14	19
36.42	23
40.90	37
44.32	28
44.49	27
61.78	17

Atomic structure:
Cell: 3.002 7.642 9.768 Å, 91.93 95.96 98.04°
Fractional positions:
Li 0.000 0.000 0.000
Li 0.080 0.418 0.745
Li 0.221 0.238 0.234
Li 0.397 0.076 0.747
Li 0.567 0.919 0.230
Li 0.743 0.745 0.747
Li 0.911 0.583 0.242
Mn 0.154 0.830 0.492
Mn 0.488 0.497 0.492
Mn 0.650 0.324 0.992
Mn 0.820 0.164 0.492
Co 0.322 0.677 0.988
O 0.071 0.224 0.884
O 0.143 0.627 0.609
O 0.166 0.033 0.375
O 0.243 0.452 0.094
O 0.350 0.849 0.876
O 0.478 0.294 0.610
O 0.501 0.700 0.374
O 0.625 0.142 0.110
O 0.679 0.538 0.881
O 0.811 0.962 0.611
O 0.833 0.368 0.375
O 0.952 0.772 0.105

=====

# 6
Li7Mn2Co3O12: simulated XRD peak list (Cu Ka), based on a cell relaxed with PBE+U.
Kinematic intensities with the Lorentz-polarization factor, no thermal factor.

Most intense lines, 2θ = 5–70°, in order of rising 2θ:
2theta	Rel. int.
11.75	15
18.43	100
35.82	13
36.06	26
43.50	28
43.70	56
63.29	15
63.43	15

Atomic structure:
Cell: 8.322 2.913 9.758 Å, 90.00 115.08 90.00°
Fractional positions:
Li 0.000 0.000 0.000
Li 0.000 0.500 0.500
Li 0.163 0.000 0.325
Li 0.317 0.500 0.165
Li 0.500 0.000 0.000
Li 0.683 0.500 0.835
Li 0.837 0.000 0.675
Mn 0.157 0.500 0.837
Mn 0.843 0.500 0.163
Co 0.336 0.000 0.669
Co 0.500 0.500 0.500
Co 0.664 0.000 0.331
O 0.065 0.500 0.170
O 0.095 0.000 0.684
O 0.242 0.000 0.982
O 0.261 0.500 0.515
O 0.399 0.500 0.823
O 0.425 0.000 0.342
O 0.575 0.000 0.658
O 0.601 0.500 0.177
O 0.739 0.500 0.485
O 0.758 0.000 0.018
O 0.905 0.000 0.316
O 0.935 0.500 0.830